The following is a simulated powder X-ray diffraction pattern of TeMo2SeS2. It was derived from a structure optimized by DFT (GGA-PBE), using CuKα.

Atomic structure:
abc: 3.3079 3.3079 37.5574
angles: 90.00 90.00 120.00
Fractional coordinates of all 12 atoms:
Te1 0.0000 0.0000 0.0000
Te2 0.0000 0.0000 0.1019
Mo1 0.0000 0.0000 0.4873
Mo2 0.0000 0.0000 0.8631
Mo3 0.3333 0.6667 0.0510
Mo4 0.3333 0.6667 0.6752
Se1 0.3333 0.6667 0.4426
Se2 0.3333 0.6667 0.5321
S1 0.0000 0.0000 0.6345
S2 0.0000 0.0000 0.7159
S3 0.3333 0.6667 0.8224
S4 0.3333 0.6667 0.9037

Principal peaks in the range 10° ≤ 2θ ≤ 80°, in order of falling intensity:
d = 7.511 Å, I = 1000; d = 2.445 Å, I = 940; d = 2.862 Å, I = 532; d = 2.034 Å, I = 474; d = 1.654 Å, I = 288; d = 2.278 Å, I = 246

---

The following is a simulated powder X-ray diffraction pattern of RbCuO. It was derived from a structure optimized by DFT (GGA-PBE), using CuKα.

Atomic structure:
abc: 7.4340 7.4340 7.4340
angles: 99.11 99.11 133.11
Fractional coordinates of all 12 atoms:
Rb1 0.0542 0.2477 0.8064
Rb2 0.4413 0.2477 0.1936
Rb3 0.7523 0.5587 0.8064
Rb4 0.7523 0.9458 0.1936
Cu1 0.1147 0.6147 0.2294
Cu2 0.1147 0.8853 0.5000
Cu3 0.3853 0.6147 0.5000
Cu4 0.3853 0.8853 0.7706
O1 0.2406 0.0105 0.7699
O2 0.2406 0.4707 0.2301
O3 0.5293 0.7594 0.7699
O4 0.9895 0.7594 0.2301

Principal peaks in the range 10° ≤ 2θ ≤ 80°, in order of falling intensity:
d = 2.825 Å, I = 1000; d = 2.958 Å, I = 526; d = 3.410 Å, I = 342; d = 2.273 Å, I = 277; d = 1.802 Å, I = 263; d = 3.485 Å, I = 226

---

The following is a simulated powder X-ray diffraction pattern of KSrCeSbO6. It was derived from a structure optimized by DFT (GGA-PBE), using CuKα.

Atomic structure:
abc: 8.4382 8.4465 8.4763
angles: 90.00 90.00 90.00
Fractional coordinates of all 40 atoms:
K1 0.2500 0.2500 0.2500
K2 0.2500 0.7500 0.7500
K3 0.7500 0.2500 0.2500
K4 0.7500 0.7500 0.7500
Sr1 0.2500 0.2500 0.7500
Sr2 0.2500 0.7500 0.2500
Sr3 0.7500 0.2500 0.7500
Sr4 0.7500 0.7500 0.2500
Ce1 0.0000 0.0000 0.0000
Ce2 0.0000 0.5000 0.5000
Ce3 0.5000 0.0000 0.5000
Ce4 0.5000 0.5000 0.0000
Sb1 0.0000 0.0000 0.5000
Sb2 0.0000 0.5000 0.0000
Sb3 0.5000 0.0000 0.0000
Sb4 0.5000 0.5000 0.5000
O1 0.0133 0.0252 0.7370
O2 0.0133 0.4748 0.7630
O3 0.0142 0.7378 0.9970
O4 0.0142 0.7622 0.5030
O5 0.2373 0.0121 0.4869
O6 0.2373 0.4879 0.0131
O7 0.2627 0.0121 0.0131
O8 0.2627 0.4879 0.4869
O9 0.4858 0.7378 0.5030
O10 0.4858 0.7622 0.9970
O11 0.4867 0.0252 0.7630
O12 0.4867 0.4748 0.7370
O13 0.5133 0.5252 0.2630
O14 0.5133 0.9748 0.2370
O15 0.5142 0.2378 0.0030
O16 0.5142 0.2622 0.4970
O17 0.7373 0.5121 0.5131
O18 0.7373 0.9879 0.9869
O19 0.7627 0.5121 0.9869
O20 0.7627 0.9879 0.5131
O21 0.9858 0.2378 0.4970
O22 0.9858 0.2622 0.0030
O23 0.9867 0.5252 0.2370
O24 0.9867 0.9748 0.2630

Principal peaks in the range 10° ≤ 2θ ≤ 80°, in order of falling intensity:
d = 2.989 Å, I = 1000; d = 1.724 Å, I = 272; d = 4.227 Å, I = 259; d = 2.111 Å, I = 220; d = 1.495 Å, I = 133; d = 1.728 Å, I = 133

---

The following is a simulated powder X-ray diffraction pattern of FeAgN. It was derived from a structure optimized by DFT (GGA-PBE), using CuKα.

Atomic structure:
abc: 9.0425 2.9687 6.2902
angles: 90.00 90.00 90.00
Fractional coordinates of all 12 atoms:
Fe1 0.0370 0.2500 0.1337
Fe2 0.4630 0.7500 0.6337
Fe3 0.5370 0.2500 0.3663
Fe4 0.9630 0.7500 0.8663
Ag1 0.1274 0.2500 0.5571
Ag2 0.3726 0.7500 0.0571
Ag3 0.6274 0.2500 0.9429
Ag4 0.8726 0.7500 0.4429
N1 0.1278 0.7500 0.0382
N2 0.3722 0.2500 0.5382
N3 0.6278 0.7500 0.4618
N4 0.8722 0.2500 0.9618

Principal peaks in the range 10° ≤ 2θ ≤ 80°, in order of falling intensity:
d = 2.482 Å, I = 1000; d = 2.100 Å, I = 834; d = 2.574 Å, I = 814; d = 2.718 Å, I = 792; d = 2.971 Å, I = 536; d = 3.145 Å, I = 507